For MgTiH6O2F6, a cell relaxed with PBE gives the computed PXRD pattern in this record (Cu Kα X-rays).

The 10 most intense peaks (15° ≤ 2θ ≤ 90°), most intense first:
22.73 deg, intensity 100, hkl 1 0 1; 30.67 deg, intensity 48, hkl 1 1 0; 54.51 deg, intensity 45, hkl 3 0 0; 17.57 deg, intensity 40, hkl 1 0 0; 42.61 deg, intensity 34, hkl 2 -1 2; 38.52 deg, intensity 31, hkl 0 2 1; 46.42 deg, intensity 26, hkl 0 2 2; 28.85 deg, intensity 23, hkl 0 0 2; 33.98 deg, intensity 22, hkl 0 1 2; 50.02 deg, intensity 19, hkl 3 -2 1

Crystal structure
```
data_MgTiH6O2F6
_cell_length_a 5.8298
_cell_length_b 5.8298
_cell_length_c 6.1890
_cell_angle_alpha 90.00
_cell_angle_beta 90.00
_cell_angle_gamma 120.00
_space_group_name_H-M_alt 'P 1'
_space_group_IT_number 1
_space_group_name_Hall 'P 1'
loop_
_atom_site_label
_atom_site_type_symbol
_atom_site_fract_x
_atom_site_fract_y
_atom_site_fract_z
Mg1 Mg 0.0000 0.0000 0.0000
Ti1 Ti 0.6667 0.3333 0.6517
H1 H 0.1567 0.6504 0.9258
H2 H 0.1918 0.1748 0.3870
H3 H 0.3496 0.5063 0.9258
H4 H 0.4937 0.8433 0.9258
H5 H 0.8252 0.0170 0.3870
H6 H 0.9830 0.8082 0.3870
O1 O 0.0000 0.0000 0.3210
O2 O 0.3333 0.6667 0.9721
F1 F 0.3410 0.2500 0.8900
F2 F 0.4002 0.3653 0.4490
F3 F 0.6347 0.0349 0.4490
F4 F 0.7500 0.0910 0.8900
F5 F 0.9090 0.6590 0.8900
F6 F 0.9651 0.5998 0.4490
```

For Ba6MgSc2C2O6F14, a cell relaxed with PBE gives the computed PXRD pattern in this record (Cu Kα X-rays).

The 10 most intense peaks (15° ≤ 2θ ≤ 90°), most intense first:
24.38 deg, intensity 100, hkl 2 1 0; 42.03 deg, intensity 26, hkl 2 2 2; 28.45 deg, intensity 23, hkl 0 2 0; 38.77 deg, intensity 21, hkl 2 2 -2; 47.99 deg, intensity 16, hkl 2 3 0; 40.18 deg, intensity 14, hkl 4 0 0; 25.14 deg, intensity 14, hkl 1 1 -2; 19.11 deg, intensity 13, hkl 1 1 -1; 30.28 deg, intensity 12, hkl 2 0 2; 41.77 deg, intensity 12, hkl 3 1 -3

Crystal structure
```
data_Ba6MgSc2C2O6F14
_cell_length_a 9.0796
_cell_length_b 6.2748
_cell_length_c 9.0970
_cell_angle_alpha 90.00
_cell_angle_beta 98.98
_cell_angle_gamma 90.00
_space_group_name_H-M_alt 'P 1'
_space_group_IT_number 1
_space_group_name_Hall 'P 1'
loop_
_atom_site_label
_atom_site_type_symbol
_atom_site_fract_x
_atom_site_fract_y
_atom_site_fract_z
Ba1 Ba 0.0000 0.0000 0.0000
Ba2 Ba 0.0523 0.0000 0.5082
Ba3 Ba 0.2352 0.5000 0.3265
Ba4 Ba 0.2954 0.5000 0.7683
Ba5 Ba 0.5594 0.0000 0.5602
Ba6 Ba 0.7936 0.5000 0.2657
Mg1 Mg 0.4551 0.5000 0.1061
Sc1 Sc 0.4366 0.0000 0.1232
Sc2 Sc 0.8784 0.5000 0.6814
C1 C 0.6336 0.0000 0.9252
C2 C 0.6857 0.5000 0.8757
O1 O 0.4890 0.0000 0.8800
O2 O 0.5906 0.5000 0.9714
O3 O 0.6393 0.5000 0.7325
O4 O 0.6783 0.0000 0.0696
O5 O 0.7275 0.0000 0.8321
O6 O 0.8293 0.5000 0.9209
F1 F 0.0087 0.2399 0.2474
F2 F 0.0087 0.7601 0.2474
F3 F 0.0429 0.5000 0.5162
F4 F 0.0443 0.2571 0.7649
F5 F 0.0443 0.7429 0.7649
F6 F 0.2894 0.0000 0.2754
F7 F 0.2991 0.2921 0.0427
F8 F 0.2991 0.7079 0.0427
F9 F 0.3129 0.2410 0.5532
F10 F 0.3129 0.7590 0.5532
F11 F 0.5193 0.2916 0.2611
F12 F 0.5193 0.7084 0.2611
F13 F 0.7942 0.2573 0.5158
F14 F 0.7942 0.7427 0.5158
```